(1)
This entry pairs a crystal structure of CuTeO5 with its computed X-ray powder pattern. Radiation: Cu Kα, 1.54184 Å. Structure: DFT lattice parameters and positions (PBE).
Peak positions follow from Bragg's law for the DFT cell and can differ from measured ones.

The 8 most intense peaks (5° ≤ 2θ ≤ 70°), low angle first:
18.97°, rel. 596; 21.12°, rel. 512; 22.77°, rel. 1000; 26.54°, rel. 564; 28.39°, rel. 341; 33.26°, rel. 271; 35.03°, rel. 304; 50.92°, rel. 264

Atomic structure:
Cell lengths 5.2245, 7.0885, 10.5224 Å; angles 90.00, 90.00, 90.00 degrees
Sites, in units of the cell vectors:
Cu: 0.2023 0.0946 0.4127
Cu: 0.2977 0.9054 0.9127
Cu: 0.7023 0.4054 0.5873
Cu: 0.7977 0.5946 0.0873
Te: 0.1381 0.1945 0.1419
Te: 0.3619 0.8055 0.6419
Te: 0.6381 0.3055 0.8581
Te: 0.8619 0.6945 0.3581
O: 0.0067 0.9500 0.0324
O: 0.0598 0.6079 0.2113
O: 0.0655 0.8668 0.7279
O: 0.1612 0.8361 0.4581
O: 0.2143 0.3548 0.4458
O: 0.2857 0.6452 0.9458
O: 0.3388 0.1639 0.9581
O: 0.4345 0.1332 0.2279
O: 0.4402 0.3921 0.7113
O: 0.4933 0.0500 0.5324
O: 0.5067 0.5500 0.9676
O: 0.5598 0.8921 0.7887
O: 0.5655 0.6332 0.2721
O: 0.6612 0.6639 0.5419
O: 0.7143 0.1452 0.5542
O: 0.7857 0.8548 0.0542
O: 0.8388 0.3361 0.0419
O: 0.9345 0.3668 0.7721
O: 0.9402 0.1079 0.2887
O: 0.9933 0.4500 0.4676

---

(2)
This entry pairs a crystal structure of UBrO5 with its computed X-ray powder pattern. Radiation: Cu Kα, 1.54184 Å. Structure: DFT lattice parameters and positions (PBE).
Peak positions follow from Bragg's law for the DFT cell and can differ from measured ones.

The 8 most intense peaks (5° ≤ 2θ ≤ 70°), low angle first:
9.98°, rel. 657; 16.29°, rel. 1000; 17.12°, rel. 633; 17.63°, rel. 709; 20.15°, rel. 675; 22.51°, rel. 701; 24.46°, rel. 643; 31.16°, rel. 631

Atomic structure:
Cell lengths 10.7168, 6.3816, 18.8768 Å; angles 90.00, 110.15, 90.00 degrees
Sites, in units of the cell vectors:
U: 0.1621 0.1028 0.1709
U: 0.1621 0.3972 0.6709
U: 0.3385 0.6794 0.8282
U: 0.3385 0.8206 0.3282
U: 0.6615 0.1794 0.6718
U: 0.6615 0.3206 0.1718
U: 0.8379 0.6028 0.3291
U: 0.8379 0.8972 0.8291
Br: 0.1845 0.1160 0.9191
Br: 0.1845 0.3840 0.4191
Br: 0.3148 0.5440 0.0806
Br: 0.3148 0.9560 0.5806
Br: 0.6852 0.0440 0.4194
Br: 0.6852 0.4560 0.9194
Br: 0.8155 0.6160 0.5809
Br: 0.8155 0.8840 0.0809
O: 0.0640 0.5535 0.4246
O: 0.0640 0.9465 0.9246
O: 0.0762 0.2395 0.7199
O: 0.0762 0.2605 0.2199
O: 0.1596 0.6728 0.7340
O: 0.1596 0.8272 0.2340
O: 0.2074 0.0724 0.6185
O: 0.2074 0.4276 0.1185
O: 0.2295 0.5399 0.6072
O: 0.2295 0.9601 0.1072
O: 0.2730 0.5384 0.8933
O: 0.2730 0.9616 0.3933
O: 0.2898 0.0037 0.8791
O: 0.2898 0.4963 0.3791
O: 0.3406 0.0963 0.2654
O: 0.3406 0.4037 0.7654
O: 0.4224 0.6609 0.2786
O: 0.4224 0.8391 0.7786
O: 0.4350 0.1281 0.5755
O: 0.4350 0.3719 0.0755
O: 0.5650 0.6281 0.9245
O: 0.5650 0.8719 0.4245
O: 0.5776 0.1609 0.2214
O: 0.5776 0.3391 0.7214
O: 0.6594 0.5963 0.2346
O: 0.6594 0.9037 0.7346
O: 0.7102 0.5037 0.6209
O: 0.7102 0.9963 0.1209
O: 0.7270 0.0384 0.6067
O: 0.7270 0.4616 0.1067
O: 0.7705 0.0399 0.8928
O: 0.7705 0.4601 0.3928
O: 0.7926 0.5724 0.8815
O: 0.7926 0.9276 0.3815
O: 0.8404 0.1728 0.7660
O: 0.8404 0.3272 0.2660
O: 0.9238 0.7395 0.7801
O: 0.9238 0.7605 0.2801
O: 0.9360 0.0535 0.0754
O: 0.9360 0.4465 0.5754

---

(3)
This entry pairs a crystal structure of Cu3As with its computed X-ray powder pattern. Radiation: Cu Kα, 1.54184 Å. Structure: DFT lattice parameters and positions (PBE).
Peak positions follow from Bragg's law for the DFT cell and can differ from measured ones.

The 2 most intense peaks (5° ≤ 2θ ≤ 70°), low angle first:
41.87°, rel. 1000; 48.74°, rel. 473

Atomic structure:
Cell lengths 3.7367, 3.7367, 3.7367 Å; angles 90.00, 90.00, 90.00 degrees
Sites, in units of the cell vectors:
Cu: 0.0000 0.0000 0.5000
Cu: 0.0000 0.5000 0.0000
Cu: 0.5000 0.0000 0.0000
As: 0.5000 0.5000 0.5000

---

(4)
This entry pairs a crystal structure of K3ReN3 with its computed X-ray powder pattern. Radiation: Cu Kα, 1.54184 Å. Structure: DFT lattice parameters and positions (PBE).
Peak positions follow from Bragg's law for the DFT cell and can differ from measured ones.

The 8 most intense peaks (5° ≤ 2θ ≤ 70°), low angle first:
12.34°, rel. 668; 19.57°, rel. 1000; 21.46°, rel. 357; 24.83°, rel. 314; 29.21°, rel. 987; 30.54°, rel. 360; 36.53°, rel. 473; 37.63°, rel. 343

Atomic structure:
Cell lengths 8.2755, 5.8548, 8.2824 Å; angles 90.00, 119.96, 90.00 degrees
Sites, in units of the cell vectors:
K: 0.1218 0.2500 0.2547
K: 0.2455 0.2500 0.8673
K: 0.3671 0.7500 0.6220
K: 0.6329 0.2500 0.3780
K: 0.7545 0.7500 0.1327
K: 0.8782 0.7500 0.7453
Re: 0.3334 0.7500 0.1668
Re: 0.6666 0.2500 0.8332
N: 0.1465 0.7500 0.2210
N: 0.2790 0.7500 0.9254
N: 0.4255 0.2500 0.6465
N: 0.5745 0.7500 0.3535
N: 0.7210 0.2500 0.0746
N: 0.8535 0.2500 0.7790

---

(5)
This entry pairs a crystal structure of OsN with its computed X-ray powder pattern. Radiation: Cu Kα, 1.54184 Å. Structure: DFT lattice parameters and positions (PBE).
Peak positions follow from Bragg's law for the DFT cell and can differ from measured ones.

The 8 most intense peaks (5° ≤ 2θ ≤ 70°), low angle first:
13.98°, rel. 330; 33.83°, rel. 804; 37.17°, rel. 477; 38.07°, rel. 532; 38.85°, rel. 1000; 43.28°, rel. 344; 46.96°, rel. 333; 54.86°, rel. 461

Atomic structure:
Cell lengths 2.7734, 12.6661, 4.8371 Å; angles 90.00, 90.00, 90.00 degrees
Sites, in units of the cell vectors:
Os: 0.0000 0.0372 0.0000
Os: 0.0000 0.3454 0.8998
Os: 0.0000 0.6546 0.3998
Os: 0.0000 0.9628 0.5000
Os: 0.5000 0.1546 0.3998
Os: 0.5000 0.4628 0.5000
Os: 0.5000 0.5372 0.0000
Os: 0.5000 0.8454 0.8998
N: 0.0000 0.2706 0.4962
N: 0.0000 0.3621 0.3270
N: 0.0000 0.6379 0.8270
N: 0.0000 0.7294 0.9962
N: 0.5000 0.1379 0.8270
N: 0.5000 0.2294 0.9962
N: 0.5000 0.7706 0.4962
N: 0.5000 0.8621 0.3270